Computed powder diffraction line list
Compound: AcHoMoO6
Radiation: Cu Ka
Structure: DFT lattice parameters and positions (PBE+U)

The 8 most intense peaks (5 to 70 degrees two-theta), by intensity:
2θ (°), I_rel, index
25.06, 100, 1 0 1
32.08, 40, 1 1 0
47.60, 38, 2 -1 2
41.14, 26, 2 0 1
53.10, 26, 3 -1 1
57.19, 12, 3 0 0
55.96, 11, 1 0 3
34.21, 9, 0 0 2

Structure:
```
data_AcHoMoO6
_chemical_formula_sum 'Ac1 Ho1 Mo1 O6'
_space_group_name_H-M_alt 'P 3 1 2'
_space_group_IT_number 149
_cell_length_a 5.5799
_cell_length_b 5.5799
_cell_length_c 5.2423
_cell_angle_alpha 90.00
_cell_angle_beta 90.00
_cell_angle_gamma 120.00
loop_
_space_group_symop_operation_xyz
'x,y,z'
'-y,x-y,z'
'-x+y,-x,z'
'-y,-x,-z'
'-x+y,y,-z'
'x,x-y,-z'
loop_
_atom_site_label
_atom_site_type_symbol
_atom_site_fract_x
_atom_site_fract_y
_atom_site_fract_z
Ac1 Ac 0.0000 0.0000 0.0000
Ho1 Ho 0.3333 0.6667 0.5000
Mo1 Mo 0.6667 0.3333 0.5000
O1 O 0.3844 0.0375 0.7114
```